Record 1
# TcPt7
Theoretical PXRD pattern, Cu Kα. Input: a DFT-relaxed cell (PBE, Alexandria).
Intensities are scaled so that the largest is 100.

Main lines, in order of falling intensity (2θ = 15–90°):
39.44 deg, intensity 100; 45.86 deg, intensity 49; 80.50 deg, intensity 39; 66.88 deg, intensity 32; 84.89 deg, intensity 11; 19.43 deg, intensity 2; 37.70 deg, intensity 1; 22.47 deg, intensity 1; 31.99 deg, intensity 1; 50.25 deg, intensity 1

```
8
Lattice="0.0000 3.9570 3.9570 3.9570 0.0000 3.9570 3.9570 3.9570 0.0000" Properties=species:S:1:pos:R:3 pbc="T T T"
Tc 0.0000 0.0000 0.0000
Pt 1.9785 1.9785 0.0000
Pt 1.9785 0.0000 1.9785
Pt 3.9570 1.9785 1.9785
Pt 0.0000 1.9785 1.9785
Pt 1.9785 3.9570 1.9785
Pt 1.9785 1.9785 3.9570
Pt 3.9570 3.9570 3.9570
```

***

Record 2
# Tc4Pt
Theoretical PXRD pattern, Cu Kα. Input: a DFT-relaxed cell (PBE, Alexandria).
Intensities are scaled so that the largest is 100.

Main lines, in order of falling intensity (2θ = 15–90°):
40.14 deg, intensity 100; 46.91 deg, intensity 32; 82.48 deg, intensity 23; 67.99 deg, intensity 21; 46.25 deg, intensity 16; 81.51 deg, intensity 13; 86.68 deg, intensity 11; 68.51 deg, intensity 10; 26.97 deg, intensity 6; 20.51 deg, intensity 5

```
5
Lattice="-3.0627 3.0627 1.9631 3.0627 -3.0627 1.9631 3.0627 3.0627 -1.9631" Properties=species:S:1:pos:R:3 pbc="T T T"
Tc 1.8536 0.5751 0.0000
Tc 2.4876 -1.2091 1.9631
Tc 0.5751 4.2718 0.0000
Tc 1.2091 2.4876 1.9631
Pt 0.0000 0.0000 1.9631
```

***

Record 3
# TcTe4Pt
Theoretical PXRD pattern, Cu Kα. Input: a DFT-relaxed cell (PBE, Alexandria).
Intensities are scaled so that the largest is 100.

Main lines, in order of falling intensity (2θ = 15–90°):
30.48 deg, intensity 100; 30.12 deg, intensity 50; 45.11 deg, intensity 39; 15.53 deg, intensity 37; 41.60 deg, intensity 25; 41.08 deg, intensity 22; 46.94 deg, intensity 18; 55.68 deg, intensity 17; 56.79 deg, intensity 17; 40.14 deg, intensity 14

```
6
Lattice="6.6338 -1.9357 0.0000 6.6338 1.9357 0.0000 -3.5992 0.0000 6.0701" Properties=species:S:1:pos:R:3 pbc="T T T"
Tc 0.0000 0.0000 0.0000
Te -1.2080 0.0000 4.8384
Te 2.3860 0.0000 4.2892
Te 7.2824 0.0000 1.7809
Te 10.8764 0.0000 1.2317
Pt 4.8342 0.0000 3.0351
```

***

Record 4
# TiZnTcPt
Theoretical PXRD pattern, Cu Kα. Input: a DFT-relaxed cell (PBE, Alexandria).
Intensities are scaled so that the largest is 100.

Main lines, in order of falling intensity (2θ = 15–90°):
40.79 deg, intensity 100; 41.49 deg, intensity 24; 29.91 deg, intensity 20; 44.09 deg, intensity 20; 75.21 deg, intensity 17; 62.14 deg, intensity 14; 78.83 deg, intensity 14; 27.08 deg, intensity 13; 88.36 deg, intensity 11; 20.40 deg, intensity 11

```
4
Lattice="3.2923 0.0000 0.0000 0.0000 4.1081 0.0000 0.0000 0.0000 4.3525" Properties=species:S:1:pos:R:3 pbc="T T T"
Ti 0.0000 0.0000 0.0000
Zn 0.0000 2.0541 2.1762
Tc 1.6461 2.0541 0.0000
Pt 1.6461 0.0000 2.1762
```

***

Record 5
# VTcPt2
Theoretical PXRD pattern, Cu Kα. Input: a DFT-relaxed cell (PBE, Alexandria).
Intensities are scaled so that the largest is 100.

Main lines, in order of falling intensity (2θ = 15–90°):
40.76 deg, intensity 100; 74.20 deg, intensity 34; 28.51 deg, intensity 24; 59.01 deg, intensity 17; 88.29 deg, intensity 11; 66.82 deg, intensity 10; 50.49 deg, intensity 7; 24.63 deg, intensity 2; 48.20 deg, intensity 1

```
4
Lattice="0.0000 3.1306 3.1306 3.1306 0.0000 3.1306 3.1306 3.1306 0.0000" Properties=species:S:1:pos:R:3 pbc="T T T"
V 0.0000 0.0000 0.0000
Tc 3.1306 3.1306 3.1306
Pt 1.5653 1.5653 1.5653
Pt 4.6960 4.6960 4.6960
```

***

Record 6
# Y8TcPt2
Theoretical PXRD pattern, Cu Kα. Input: a DFT-relaxed cell (PBE, Alexandria).
Intensities are scaled so that the largest is 100.

Main lines, in order of falling intensity (2θ = 15–90°):
33.07 deg, intensity 100; 38.87 deg, intensity 83; 30.64 deg, intensity 82; 16.07 deg, intensity 59; 32.30 deg, intensity 56; 39.79 deg, intensity 50; 26.22 deg, intensity 44; 35.43 deg, intensity 41; 36.02 deg, intensity 39; 21.25 deg, intensity 38

```
11
Lattice="4.2239 -6.4101 0.0000 4.2239 6.4101 0.0000 -1.8363 0.0000 5.5170" Properties=species:S:1:pos:R:3 pbc="T T T"
Y 0.0000 0.0000 0.0000
Y 0.2551 1.6029 3.1560
Y 2.6553 2.7692 0.9740
Y 0.2551 -1.6029 3.1560
Y 3.3013 1.5956 4.2163
Y 2.6553 -2.7692 0.9740
Y 3.3013 -1.5956 4.2163
Y 5.3849 0.0000 1.9776
Tc 2.4846 0.0000 1.5961
Pt 1.7865 3.9871 3.7651
Pt 1.7865 -3.9871 3.7651
```

***

Record 7
# ZnTcPt6
Theoretical PXRD pattern, Cu Kα. Input: a DFT-relaxed cell (PBE, Alexandria).
Intensities are scaled so that the largest is 100.

Main lines, in order of falling intensity (2θ = 15–90°):
39.64 deg, intensity 100; 46.09 deg, intensity 49; 80.96 deg, intensity 38; 67.23 deg, intensity 32; 85.39 deg, intensity 11; 22.58 deg, intensity 8; 32.14 deg, intensity 7; 51.91 deg, intensity 4; 57.30 deg, intensity 3; 71.92 deg, intensity 2

```
8
Lattice="3.9391 0.0000 0.0000 0.0000 3.9391 0.0000 0.0000 0.0000 7.8743" Properties=species:S:1:pos:R:3 pbc="T T T"
Zn 0.0000 0.0000 0.0000
Tc 0.0000 0.0000 3.9371
Pt 0.0000 1.9695 2.0043
Pt 0.0000 1.9695 5.8700
Pt 1.9695 0.0000 2.0043
Pt 1.9695 0.0000 5.8700
Pt 1.9695 1.9695 0.0000
Pt 1.9695 1.9695 3.9371
```

***

Record 8
# Te5Pt
Theoretical PXRD pattern, Cu Kα. Input: a DFT-relaxed cell (PBE, Alexandria).
Intensities are scaled so that the largest is 100.

Main lines, in order of falling intensity (2θ = 15–90°):
32.04 deg, intensity 100; 33.54 deg, intensity 93; 19.19 deg, intensity 64; 48.16 deg, intensity 32; 44.86 deg, intensity 30; 58.96 deg, intensity 19; 59.07 deg, intensity 17; 46.97 deg, intensity 16; 37.61 deg, intensity 15; 42.59 deg, intensity 13

```
6
Lattice="5.3382 0.0000 0.0000 0.0000 1.9345 9.2544 0.0000 -1.9345 9.2544" Properties=species:S:1:pos:R:3 pbc="T T T"
Te 0.0000 0.0000 0.0000
Te 0.0000 0.0000 3.6879
Te 2.6691 0.0000 2.3304
Te 2.6691 0.0000 7.6563
Te 2.6691 0.0000 14.8530
Pt 0.0000 0.0000 11.0803
```